Fe2NiP2O8: simulated PXRD pattern (Cu Kα), based on a structure optimized by DFT (PBE+U).
Peak positions follow from Bragg's law for the DFT cell and can differ from measured ones.

Principal peaks in the range 2θ = 15–90°, by angle:
2θ 22.35, d = 3.977 Å, rel. 538, hkl 1 0 2
2θ 25.18, d = 3.537 Å, rel. 1000, hkl 1 1 1
2θ 29.23, d = 3.055 Å, rel. 301, hkl 2 0 0
2θ 31.65, d = 2.827 Å, rel. 598, hkl 0 1 3
2θ 34.92, d = 2.569 Å, rel. 692, hkl 1 1 -3
2θ 35.94, d = 2.499 Å, rel. 660, hkl 2 1 -1
2θ 51.57, d = 1.772 Å, rel. 220, hkl 2 2 -2
2θ 51.69, d = 1.768 Å, rel. 380, hkl 2 2 2
2θ 55.75, d = 1.649 Å, rel. 213, hkl 3 1 3
2θ 60.80, d = 1.523 Å, rel. 207, hkl 2 0 -6

Crystal structure
```
data_Fe2NiP2O8
_chemical_formula_sum 'Fe4 Ni2 P4 O16'
_space_group_name_H-M_alt 'P 1 21/c 1'
_space_group_IT_number 14
_space_group_name_Hall '-P 2ybc'
_cell_length_a 6.107
_cell_length_b 4.772
_cell_length_c 10.526
_cell_angle_alpha 90.00
_cell_angle_beta 90.28
_cell_angle_gamma 90.00
loop_
_atom_site_label
_atom_site_type_symbol
_atom_site_fract_x
_atom_site_fract_y
_atom_site_fract_z
Fe1 Fe 0.237 0.022 0.282
Ni1 Ni 0.500 0.000 0.000
P1 P 0.264 0.574 0.098
O1 O 0.072 0.682 0.180
O2 O 0.258 0.693 0.961
O3 O 0.281 0.247 0.603
O4 O 0.472 0.728 0.158
```



RbErMo2O8: simulated PXRD pattern (Cu Kα), based on a structure optimized by DFT (PBE+U).
Peak positions follow from Bragg's law for the DFT cell and can differ from measured ones.

Principal peaks in the range 2θ = 15–90°, by angle:
2θ 22.29, d = 3.988 Å, rel. 354, hkl 1 3 0
2θ 24.85, d = 3.583 Å, rel. 161, hkl 1 3 1
2θ 28.36, d = 3.147 Å, rel. 1000, hkl 1 1 2
2θ 28.84, d = 3.096 Å, rel. 483, hkl 0 4 2
2θ 29.21, d = 3.057 Å, rel. 603, hkl 1 5 0
2θ 35.00, d = 2.564 Å, rel. 177, hkl 2 0 0
2θ 45.96, d = 1.975 Å, rel. 406, hkl 2 4 2
2θ 50.98, d = 1.791 Å, rel. 149, hkl 2 6 2
2θ 51.86, d = 1.763 Å, rel. 205, hkl 1 9 2
2θ 54.08, d = 1.696 Å, rel. 196, hkl 1 5 4

Crystal structure
```
data_RbErMo2O8
_chemical_formula_sum 'Rb4 Er4 Mo8 O32'
_space_group_name_H-M_alt 'P b c n'
_space_group_IT_number 60
_space_group_name_Hall '-P 2n 2ab'
_cell_length_a 5.128
_cell_length_b 19.037
_cell_length_c 8.153
_cell_angle_alpha 90.00
_cell_angle_beta 90.00
_cell_angle_gamma 90.00
loop_
_atom_site_label
_atom_site_type_symbol
_atom_site_fract_x
_atom_site_fract_y
_atom_site_fract_z
Rb1 Rb 0.000 0.229 0.250
Er1 Er 0.000 0.006 0.750
Mo1 Mo 0.024 0.402 0.516
O1 O 0.093 0.316 0.975
O2 O 0.235 0.405 0.339
O3 O 0.244 0.413 0.689
O4 O 0.246 0.035 0.506
```



Sm2Fe2O5: simulated PXRD pattern (Cu Kα), based on a structure optimized by DFT (PBE+U).
Peak positions follow from Bragg's law for the DFT cell and can differ from measured ones.

Principal peaks in the range 2θ = 15–90°, by angle:
2θ 22.24, d = 3.997 Å, rel. 256, hkl 0 1 1
2θ 23.09, d = 3.852 Å, rel. 113, hkl 4 0 0
2θ 30.70, d = 2.912 Å, rel. 310, hkl 0 2 0
2θ 32.28, d = 2.774 Å, rel. 1000, hkl 4 1 1
2θ 32.58, d = 2.748 Å, rel. 297, hkl 0 0 2
2θ 45.38, d = 1.999 Å, rel. 273, hkl 0 2 2
2θ 47.19, d = 1.926 Å, rel. 125, hkl 8 0 0
2θ 55.59, d = 1.653 Å, rel. 240, hkl 4 3 1
2θ 57.94, d = 1.592 Å, rel. 212, hkl 4 1 3
2θ 58.52, d = 1.577 Å, rel. 110, hkl 8 0 2

Crystal structure
```
data_Sm2Fe2O5
_chemical_formula_sum 'Sm8 Fe8 O20'
_space_group_name_H-M_alt 'I m a 2'
_space_group_IT_number 46
_space_group_name_Hall 'I 2 -2a'
_cell_length_a 15.407
_cell_length_b 5.824
_cell_length_c 5.496
_cell_angle_alpha 90.00
_cell_angle_beta 90.00
_cell_angle_gamma 90.00
loop_
_atom_site_label
_atom_site_type_symbol
_atom_site_fract_x
_atom_site_fract_y
_atom_site_fract_z
Sm1 Sm 0.113 0.013 0.000
Fe1 Fe 0.000 0.000 0.480
Fe2 Fe 0.250 0.535 0.012
O1 O 0.031 0.739 0.243
O2 O 0.140 0.106 0.419
O3 O 0.250 0.612 0.402
```



CoPO4: simulated PXRD pattern (Cu Kα), based on a structure optimized by DFT (PBE+U).
Peak positions follow from Bragg's law for the DFT cell and can differ from measured ones.

Principal peaks in the range 2θ = 15–90°, by angle:
2θ 20.96, d = 4.238 Å, rel. 1000, hkl 1 1 -1
2θ 21.12, d = 4.207 Å, rel. 532, hkl 0 0 2
2θ 21.41, d = 4.149 Å, rel. 531, hkl 2 0 0
2θ 26.74, d = 3.333 Å, rel. 125, hkl 1 1 -2
2θ 33.58, d = 2.669 Å, rel. 177, hkl 0 2 0
2θ 34.36, d = 2.610 Å, rel. 195, hkl 2 0 2
2θ 35.05, d = 2.560 Å, rel. 171, hkl 1 1 -3
2θ 35.42, d = 2.534 Å, rel. 165, hkl 3 1 -1
2θ 42.38, d = 2.133 Å, rel. 87, hkl 2 0 -4
2θ 56.04, d = 1.641 Å, rel. 103, hkl 1 3 -2

Crystal structure
```
data_CoPO4
_chemical_formula_sum 'Co4 P4 O16'
_space_group_name_H-M_alt 'C 1 c 1'
_space_group_IT_number 9
_space_group_name_Hall 'C -2yc'
_cell_length_a 8.649
_cell_length_b 5.337
_cell_length_c 8.769
_cell_angle_alpha 90.00
_cell_angle_beta 106.35
_cell_angle_gamma 90.00
loop_
_atom_site_label
_atom_site_type_symbol
_atom_site_fract_x
_atom_site_fract_y
_atom_site_fract_z
Co1 Co 0.000 0.197 0.000
P1 P 0.123 0.302 0.373
O1 O 0.002 0.273 0.207
O2 O 0.067 0.131 0.490
O3 O 0.129 0.424 0.933
O4 O 0.295 0.236 0.364
```



LiNi2O4: simulated PXRD pattern (Cu Kα), based on a structure optimized by DFT (PBE+U).
Peak positions follow from Bragg's law for the DFT cell and can differ from measured ones.

Principal peaks in the range 2θ = 15–90°, by angle:
2θ 18.87, d = 4.702 Å, rel. 1000, hkl 0 1 1
2θ 19.06, d = 4.657 Å, rel. 643, hkl 1 0 1
2θ 36.53, d = 2.460 Å, rel. 121, hkl 1 0 3
2θ 36.78, d = 2.444 Å, rel. 187, hkl 1 2 1
2θ 37.08, d = 2.425 Å, rel. 224, hkl 2 1 1
2θ 38.29, d = 2.351 Å, rel. 147, hkl 0 2 2
2θ 38.67, d = 2.328 Å, rel. 134, hkl 2 0 2
2θ 44.21, d = 2.049 Å, rel. 316, hkl 0 0 4
2θ 44.98, d = 2.015 Å, rel. 605, hkl 2 2 0
2θ 64.92, d = 1.436 Å, rel. 407, hkl 2 2 4

Crystal structure
```
data_LiNi2O4
_chemical_formula_sum 'Li4 Ni8 O16'
_space_group_name_H-M_alt 'I m m a'
_space_group_IT_number 74
_space_group_name_Hall '-I 2b 2'
_cell_length_a 5.660
_cell_length_b 5.741
_cell_length_c 8.194
_cell_angle_alpha 90.00
_cell_angle_beta 90.00
_cell_angle_gamma 90.00
loop_
_atom_site_label
_atom_site_type_symbol
_atom_site_fract_x
_atom_site_fract_y
_atom_site_fract_z
Li1 Li 0.000 0.000 0.000
Ni1 Ni 0.000 0.000 0.500
Ni2 Ni 0.250 0.250 0.250
O1 O 0.000 0.035 0.250
O2 O 0.232 0.250 0.477
```



Co3O2F4: simulated PXRD pattern (Cu Kα), based on a structure optimized by DFT (PBE+U).
Peak positions follow from Bragg's law for the DFT cell and can differ from measured ones.

Principal peaks in the range 2θ = 15–90°, by angle:
2θ 26.49, d = 3.365 Å, rel. 1000, hkl 1 -1 0
2θ 27.77, d = 3.212 Å, rel. 888, hkl 1 1 2
2θ 34.34, d = 2.611 Å, rel. 581, hkl 2 1 0
2θ 35.00, d = 2.564 Å, rel. 556, hkl 1 0 -2
2θ 52.57, d = 1.741 Å, rel. 172, hkl -2 1 2
2θ 53.00, d = 1.728 Å, rel. 253, hkl 3 2 2
2θ 54.39, d = 1.687 Å, rel. 263, hkl 1 0 4
2θ 54.55, d = 1.682 Å, rel. 183, hkl 2 -2 0
2θ 59.35, d = 1.557 Å, rel. 184, hkl 2 2 -2
2θ 66.93, d = 1.398 Å, rel. 185, hkl 4 1 2

Crystal structure
```
data_Co3O2F4
_chemical_formula_sum 'Co6 O4 F8'
_space_group_name_H-M_alt 'P 1'
_space_group_IT_number 1
_space_group_name_Hall 'P 1'
_cell_length_a 5.646
_cell_length_b 5.651
_cell_length_c 7.065
_cell_angle_alpha 73.79
_cell_angle_beta 73.55
_cell_angle_gamma 73.12
loop_
_atom_site_label
_atom_site_type_symbol
_atom_site_fract_x
_atom_site_fract_y
_atom_site_fract_z
Co1 Co 0.000 0.000 0.000
Co2 Co 0.004 0.034 0.493
Co3 Co 0.319 0.330 0.161
Co4 Co 0.353 0.365 0.687
Co5 Co 0.681 0.673 0.836
Co6 Co 0.694 0.647 0.334
O1 O 0.230 0.236 0.974
O2 O 0.601 0.580 0.623
O3 O 0.768 0.752 0.046
O4 O 0.972 0.369 0.335
F1 F 0.046 0.663 0.666
F2 F 0.122 0.116 0.696
F3 F 0.310 0.697 0.000
F4 F 0.382 0.962 0.337
F5 F 0.438 0.428 0.367
F6 F 0.653 0.044 0.674
F7 F 0.694 0.304 0.004
F8 F 0.907 0.899 0.307
```



Tl2CrO4: simulated PXRD pattern (Cu Kα), based on a structure optimized by DFT (PBE+U).
Peak positions follow from Bragg's law for the DFT cell and can differ from measured ones.

Principal peaks in the range 2θ = 15–90°, by angle:
2θ 20.09, d = 4.421 Å, rel. 256, hkl 1 1 1
2θ 24.35, d = 3.656 Å, rel. 268, hkl 1 1 2
2θ 26.61, d = 3.350 Å, rel. 199, hkl 2 1 0
2θ 27.13, d = 3.286 Å, rel. 566, hkl 2 0 2
2θ 27.78, d = 3.211 Å, rel. 825, hkl 2 1 1
2θ 28.07, d = 3.179 Å, rel. 1000, hkl 0 1 3
2θ 29.91, d = 2.987 Å, rel. 542, hkl 0 2 0
2θ 34.18, d = 2.624 Å, rel. 179, hkl 3 0 1
2θ 40.83, d = 2.210 Å, rel. 407, hkl 2 2 2
2θ 49.20, d = 1.852 Å, rel. 282, hkl 3 1 4

Crystal structure
```
data_Tl2CrO4
_chemical_formula_sum 'Tl8 Cr4 O16'
_space_group_name_H-M_alt 'P n m a'
_space_group_IT_number 62
_space_group_name_Hall '-P 2ac 2n'
_cell_length_a 8.093
_cell_length_b 5.974
_cell_length_c 11.264
_cell_angle_alpha 90.00
_cell_angle_beta 90.00
_cell_angle_gamma 90.00
loop_
_atom_site_label
_atom_site_type_symbol
_atom_site_fract_x
_atom_site_fract_y
_atom_site_fract_z
Tl1 Tl 0.003 0.250 0.214
Tl2 Tl 0.181 0.750 0.432
Cr1 Cr 0.211 0.750 0.075
O1 O 0.006 0.750 0.090
O2 O 0.211 0.018 0.637
O3 O 0.238 0.250 0.431
```



CrSbTeO6: simulated PXRD pattern (Cu Kα), based on a structure optimized by DFT (PBE+U).
Peak positions follow from Bragg's law for the DFT cell and can differ from measured ones.

Principal peaks in the range 2θ = 15–90°, by angle:
2θ 20.64, d = 4.304 Å, rel. 153, hkl 1 0 1
2θ 26.22, d = 3.398 Å, rel. 1000, hkl 1 1 0
2θ 33.47, d = 2.677 Å, rel. 752, hkl 1 0 3
2θ 37.43, d = 2.403 Å, rel. 200, hkl 2 0 0
2θ 51.07, d = 1.788 Å, rel. 653, hkl 2 1 3
2θ 53.97, d = 1.699 Å, rel. 161, hkl 2 2 0
2θ 60.97, d = 1.520 Å, rel. 137, hkl 3 1 0
2θ 63.92, d = 1.456 Å, rel. 149, hkl 1 1 6
2θ 65.01, d = 1.435 Å, rel. 199, hkl 3 0 3
2θ 77.49, d = 1.232 Å, rel. 114, hkl 3 2 3

Crystal structure
```
data_CrSbTeO6
_chemical_formula_sum 'Cr2 Sb2 Te2 O12'
_space_group_name_H-M_alt 'P 42 n m'
_space_group_IT_number 102
_space_group_name_Hall 'P 4n -2n'
_cell_length_a 4.806
_cell_length_b 4.806
_cell_length_c 9.672
_cell_angle_alpha 90.00
_cell_angle_beta 90.00
_cell_angle_gamma 90.00
loop_
_atom_site_label
_atom_site_type_symbol
_atom_site_fract_x
_atom_site_fract_y
_atom_site_fract_z
Cr1 Cr 0.000 0.000 0.000
Sb1 Sb 0.000 0.000 0.666
Te1 Te 0.000 0.000 0.331
O1 O 0.182 0.182 0.831
O2 O 0.198 0.198 0.509
O3 O 0.200 0.200 0.157
```



CeFeO3: simulated PXRD pattern (Cu Kα), based on a structure optimized by DFT (PBE+U).
Peak positions follow from Bragg's law for the DFT cell and can differ from measured ones.

Principal peaks in the range 2θ = 15–90°, by angle:
2θ 22.38, d = 3.973 Å, rel. 134, hkl 1 0 1
2θ 25.17, d = 3.538 Å, rel. 314, hkl 1 1 1
2θ 30.92, d = 2.892 Å, rel. 151, hkl 2 0 0
2θ 32.21, d = 2.779 Å, rel. 1000, hkl 1 2 1
2θ 32.76, d = 2.734 Å, rel. 249, hkl 0 0 2
2θ 33.05, d = 2.711 Å, rel. 176, hkl 2 1 0
2θ 46.72, d = 1.944 Å, rel. 142, hkl 0 4 0
2θ 47.22, d = 1.925 Å, rel. 192, hkl 2 1 2
2θ 51.62, d = 1.770 Å, rel. 210, hkl 3 1 1
2θ 58.17, d = 1.586 Å, rel. 349, hkl 0 4 2

Crystal structure
```
data_CeFeO3
_chemical_formula_sum 'Ce4 Fe4 O12'
_space_group_name_H-M_alt 'P n m a'
_space_group_IT_number 62
_space_group_name_Hall '-P 2ac 2n'
_cell_length_a 5.784
_cell_length_b 7.777
_cell_length_c 5.467
_cell_angle_alpha 90.00
_cell_angle_beta 90.00
_cell_angle_gamma 90.00
loop_
_atom_site_label
_atom_site_type_symbol
_atom_site_fract_x
_atom_site_fract_y
_atom_site_fract_z
Ce1 Ce 0.084 0.250 0.025
Fe1 Fe 0.000 0.000 0.500
O1 O 0.047 0.750 0.364
O2 O 0.181 0.568 0.818
```



Li7Mn5O12: simulated PXRD pattern (Cu Kα), based on a structure optimized by DFT (PBE+U).
Peak positions follow from Bragg's law for the DFT cell and can differ from measured ones.

Principal peaks in the range 2θ = 15–90°, by angle:
2θ 18.33, d = 4.840 Å, rel. 1000, hkl 0 1 1
2θ 34.36, d = 2.610 Å, rel. 167, hkl 2 0 1
2θ 36.16, d = 2.484 Å, rel. 116, hkl 2 2 0
2θ 36.28, d = 2.476 Å, rel. 119, hkl 0 1 -2
2θ 41.43, d = 2.180 Å, rel. 347, hkl 2 -1 0
2θ 44.13, d = 2.052 Å, rel. 582, hkl 0 0 3
2θ 61.79, d = 1.501 Å, rel. 84, hkl 4 2 1
2θ 62.12, d = 1.494 Å, rel. 168, hkl 2 -1 3
2θ 62.46, d = 1.487 Å, rel. 83, hkl 0 4 1
2θ 64.71, d = 1.441 Å, rel. 76, hkl 2 3 -2

Crystal structure
```
data_Li7Mn5O12
_chemical_formula_sum 'Li7 Mn5 O12'
_space_group_name_H-M_alt 'P -1'
_space_group_IT_number 2
_space_group_name_Hall '-P 1'
_cell_length_a 6.017
_cell_length_b 6.512
_cell_length_c 6.519
_cell_angle_alpha 71.97
_cell_angle_beta 76.87
_cell_angle_gamma 65.98
loop_
_atom_site_label
_atom_site_type_symbol
_atom_site_fract_x
_atom_site_fract_y
_atom_site_fract_z
Li1 Li 0.000 0.000 0.000
Li2 Li 0.082 0.162 0.327
Li3 Li 0.256 0.497 0.999
Li4 Li 0.411 0.831 0.674
Mn1 Mn 0.171 0.327 0.669
Mn2 Mn 0.321 0.676 0.329
Mn3 Mn 0.500 0.000 0.000
O1 O 0.035 0.107 0.662
O2 O 0.163 0.232 0.984
O3 O 0.221 0.424 0.344
O4 O 0.303 0.570 0.650
O5 O 0.382 0.758 0.013
O6 O 0.440 0.920 0.314
```